Be2AlV2Fe5: theoretical powder diffractogram (Cu Kα (weighted mean of Kα1 and Kα2)), based on a DFT-relaxed cell (PBE, Alexandria).
Kinematic intensities with the Lorentz-polarization factor, no thermal factor.

Cell and atoms:
a b c (Å): 8.3681 8.3681 3.1429
angles (deg): 90.00 90.00 90.00
Positions (direct):
Be 0.1224 0.3776 0.0000
Be 0.3776 0.8776 0.0000
Be 0.6224 0.1224 0.0000
Be 0.8776 0.6224 0.0000
Al 0.0000 0.0000 0.0000
Al 0.5000 0.5000 0.0000
V 0.1743 0.6743 0.0000
V 0.3257 0.1743 0.0000
V 0.6743 0.8257 0.0000
V 0.8257 0.3257 0.0000
Fe 0.0000 0.5000 0.5000
Fe 0.0683 0.2119 0.5000
Fe 0.2119 0.9317 0.5000
Fe 0.2881 0.4317 0.5000
Fe 0.4317 0.7119 0.5000
Fe 0.5000 0.0000 0.5000
Fe 0.5683 0.2881 0.5000
Fe 0.7119 0.5683 0.5000
Fe 0.7881 0.0683 0.5000
Fe 0.9317 0.7881 0.5000

Top 10 peaks for 15 to 90 degrees two-theta, in order of falling intensity:
| h k l | two_theta | I/Imax |
| --- | --- | --- |
| 3 1 1 | 44.77 | 100.0 |
| 4 1 0 | 44.65 | 71.4 |
| 2 1 1 | 37.36 | 71.0 |
| 3 2 1 | 48.78 | 37.3 |
| 2 2 1 | 41.94 | 29.5 |
| 0 0 1 | 28.40 | 27.5 |
| 4 2 0 | 48.66 | 26.0 |
| 4 1 2 | 76.70 | 24.7 |
| 0 0 2 | 58.76 | 24.4 |
| 3 2 0 | 38.80 | 19.0 |